The following is a simulated X-ray diffraction stick pattern of RbAc2AuO5. It was derived from DFT lattice parameters and positions (PBE), using copper Kα.
Lines closer than 0.1° are merged.

Top 10 peaks for 2θ from 5° to 70°, most intense first:
hkl 2 0 2, d = 3.145 Å, I = 100
hkl 2 1 3, d = 2.572 Å, I = 30
hkl 2 2 4, d = 1.995 Å, I = 30
hkl 0 0 4, d = 3.168 Å, I = 26
hkl 4 1 1, d = 1.742 Å, I = 18
hkl 3 1 2, d = 2.156 Å, I = 16
hkl 1 1 0, d = 5.126 Å, I = 16
hkl 2 2 0, d = 2.563 Å, I = 15
hkl 4 1 3, d = 1.623 Å, I = 15
hkl 2 0 6, d = 1.825 Å, I = 14

Structure:
Cell lengths 7.2499, 7.2499, 12.6724 Å; angles 90.00, 90.00, 90.00 degrees
Space group I4/mcm (No. 140)
Symmetry-distinct sites (fractional):
Rb (0.0000, 0.0000, 0.2500) (multiplicity 4)
Ac (0.1790, 0.3210, 0.0000) (multiplicity 8)
Au (0.0000, 0.5000, 0.2500) (multiplicity 4)
O (0.0000, 0.0000, 0.0000) (multiplicity 4)
O (0.1295, 0.3705, 0.3818) (multiplicity 16)

=====

The following is a simulated X-ray diffraction stick pattern of Ac3RhAuO. It was derived from DFT lattice parameters and positions (PBE), using copper Kα.
Lines closer than 0.1° are merged.

Top 10 peaks for 2θ from 5° to 70°, most intense first:
hkl 2 1 -1, d = 3.064 Å, I = 100
hkl 0 0 3, d = 3.117 Å, I = 76
hkl 2 1 0, d = 3.092 Å, I = 45
hkl 2 1 -4, d = 2.000 Å, I = 37
hkl 2 1 2, d = 2.430 Å, I = 36
hkl 0 2 0, d = 2.161 Å, I = 32
hkl 0 2 3, d = 1.775 Å, I = 27
hkl 1 1 1, d = 3.482 Å, I = 21
hkl 3 0 0, d = 2.951 Å, I = 18
hkl 1 1 2, d = 2.868 Å, I = 16

Structure:
Cell lengths 9.0302, 4.3214, 9.5316 Å; angles 90.00, 101.32, 90.00 degrees
Space group P2_1/m (No. 11)
Symmetry-distinct sites (fractional):
Ac (0.0704, 0.2500, 0.3376) (multiplicity 2)
Ac (0.3138, 0.2500, 0.9761) (multiplicity 2)
Ac (0.3819, 0.7500, 0.6442) (multiplicity 2)
Rh (0.1578, 0.2500, 0.6519) (multiplicity 2)
Au (0.3255, 0.7500, 0.2772) (multiplicity 2)
O (0.4162, 0.7500, 0.9092) (multiplicity 2)

=====

The following is a simulated X-ray diffraction stick pattern of AcScAuO4. It was derived from DFT lattice parameters and positions (PBE), using copper Kα.
Lines closer than 0.1° are merged.

Top 10 peaks for 2θ from 5° to 70°, most intense first:
hkl 1 0 1, d = 4.422 Å, I = 100
hkl 1 1 2, d = 2.618 Å, I = 86
hkl 2 1 1, d = 2.437 Å, I = 50
hkl 2 0 0, d = 2.920 Å, I = 47
hkl 3 1 2, d = 1.621 Å, I = 44
hkl 2 2 0, d = 2.065 Å, I = 25
hkl 1 0 3, d = 2.105 Å, I = 17
hkl 2 1 3, d = 1.708 Å, I = 16
hkl 2 0 4, d = 1.464 Å, I = 15
hkl 3 2 1, d = 1.575 Å, I = 12

Structure:
Cell lengths 5.8405, 5.8405, 6.7708 Å; angles 90.00, 90.00, 90.00 degrees
Space group I-4 (No. 82)
Symmetry-distinct sites (fractional):
Ac (0.0000, 0.0000, 0.0000) (multiplicity 2)
Sc (0.0000, 0.0000, 0.5000) (multiplicity 2)
Au (0.0000, 0.5000, 0.7500) (multiplicity 2)
O (0.1868, 0.1891, 0.6904) (multiplicity 8)

=====

The following is a simulated X-ray diffraction stick pattern of Ac2AuSe2O2. It was derived from DFT lattice parameters and positions (PBE), using copper Kα.
Lines closer than 0.1° are merged.

Top 10 peaks for 2θ from 5° to 70°, most intense first:
hkl 1 0 1, d = 3.520 Å, I = 100
hkl 0 1 2, d = 3.146 Å, I = 41
hkl 1 1 0, d = 2.124 Å, I = 36
hkl 1 0 4, d = 2.342 Å, I = 30
hkl 0 1 5, d = 2.027 Å, I = 17
hkl 1 1 5, d = 1.599 Å, I = 17
hkl 0 2 1, d = 1.818 Å, I = 16
hkl 0 0 3, d = 4.049 Å, I = 15
hkl 2 1 1, d = 1.381 Å, I = 13
hkl 1 1 3, d = 1.881 Å, I = 12

Structure:
Cell lengths 4.2474, 4.2474, 12.1481 Å; angles 90.00, 90.00, 120.00 degrees
Space group P-3m1 (No. 164)
Symmetry-distinct sites (fractional):
Ac (0.3333, 0.6667, 0.1313) (multiplicity 2)
Au (0.0000, 0.0000, 0.5000) (multiplicity 1)
Se (0.0000, 0.0000, 0.3041) (multiplicity 2)
O (0.3333, 0.6667, 0.9238) (multiplicity 2)

=====

The following is a simulated X-ray diffraction stick pattern of SrAc2AuO6. It was derived from DFT lattice parameters and positions (PBE), using copper Kα.
Lines closer than 0.1° are merged.

Top 10 peaks for 2θ from 5° to 70°, most intense first:
hkl 1 1 1, d = 3.240 Å, I = 100
hkl 2 0 0, d = 2.949 Å, I = 50
hkl 3 1 1, d = 1.753 Å, I = 36
hkl 0 0 1, d = 5.148 Å, I = 28
hkl 1 1 2, d = 2.190 Å, I = 27
hkl 2 2 0, d = 2.085 Å, I = 27
hkl 3 1 2, d = 1.510 Å, I = 17
hkl 2 0 2, d = 1.939 Å, I = 15
hkl 2 0 1, d = 2.559 Å, I = 15
hkl 1 0 1, d = 3.878 Å, I = 9

Structure:
Cell lengths 5.8970, 5.8970, 5.1480 Å; angles 90.00, 90.00, 90.00 degrees
Space group P4mm (No. 99)
Symmetry-distinct sites (fractional):
Sr (0.0000, 0.0000, 0.0000) (multiplicity 1)
Ac (0.0000, 0.5000, 0.4547) (multiplicity 2)
Au (0.5000, 0.5000, 0.1325) (multiplicity 1)
O (0.0000, 0.0000, 0.5481) (multiplicity 1)
O (0.2610, 0.2610, 0.1721) (multiplicity 4)
O (0.5000, 0.5000, 0.6217) (multiplicity 1)

=====

The following is a simulated X-ray diffraction stick pattern of AcTlAuO. It was derived from DFT lattice parameters and positions (PBE), using copper Kα.
Lines closer than 0.1° are merged.

Top 10 peaks for 2θ from 5° to 70°, most intense first:
hkl 1 0 2, d = 3.307 Å, I = 100
hkl 1 1 2, d = 2.657 Å, I = 75
hkl 2 0 0, d = 2.230 Å, I = 68
hkl 1 1 1, d = 3.004 Å, I = 65
hkl 1 0 3, d = 2.645 Å, I = 54
hkl 2 1 2, d = 1.849 Å, I = 40
hkl 2 0 5, d = 1.477 Å, I = 30
hkl 2 1 3, d = 1.705 Å, I = 30
hkl 3 1 2, d = 1.356 Å, I = 26
hkl 1 1 4, d = 1.942 Å, I = 25

Structure:
Cell lengths 4.4610, 4.4610, 9.8540 Å; angles 90.00, 90.00, 90.00 degrees
Space group P4/nmm (No. 129, origin choice 2)
Symmetry-distinct sites (fractional):
Ac (0.2500, 0.2500, 0.1179) (multiplicity 2)
Tl (0.2500, 0.7500, 0.5000) (multiplicity 2)
Au (0.2500, 0.2500, 0.7077) (multiplicity 2)
O (0.2500, 0.7500, 0.0000) (multiplicity 2)